1.
The following is a computed X-ray powder pattern of DyAg2AsO4. It was derived from DFT lattice parameters and positions (PBE), using λ = 1.5418 Å (Cu Kα).

Structural model:
```
data_DyAg2AsO4
_chemical_formula_sum 'Dy2 Ag4 As2 O8'
_cell_length_a 5.892
_cell_length_b 5.892
_cell_length_c 8.730
_cell_angle_alpha 90.00
_cell_angle_beta 90.00
_cell_angle_gamma 90.00
_symmetry_space_group_name_H-M 'I -4'
_symmetry_Int_Tables_number 82
_symmetry_space_group_name_Hall 'I -4'
loop_
_atom_site_label
_atom_site_type_symbol
_atom_site_fract_x
_atom_site_fract_y
_atom_site_fract_z
Dy1 Dy 0.000 0.000 0.000
Ag1 Ag 0.000 0.000 0.500
Ag2 Ag 0.000 0.500 0.750
As1 As 0.000 0.500 0.250
O1 O 0.106 0.288 0.135
```

Main lines, in order of rising 2θ (10 to 90 degrees two-theta):
(1 1 2), 29.64 deg, intensity 100.0; (2 0 0), 30.34 deg, intensity 41.9; (2 2 0), 43.44 deg, intensity 16.1; (2 0 4), 52.16 deg, intensity 21.3; (3 1 2), 53.47 deg, intensity 36.2; (2 2 4), 61.54 deg, intensity 12.4; (1 1 6), 68.28 deg, intensity 8.5; (1 3 6), 84.48 deg, intensity 10.0; (2 4 4), 86.24 deg, intensity 8.7; (1 5 2), 87.29 deg, intensity 9.2



2.
The following is a computed X-ray powder pattern of Pb2O. It was derived from DFT lattice parameters and positions (PBE), using λ = 1.5418 Å (Cu Kα).

Structural model:
```
data_Pb2O
_chemical_formula_sum 'Pb4 O2'
_cell_length_a 5.475
_cell_length_b 5.475
_cell_length_c 5.475
_cell_angle_alpha 90.00
_cell_angle_beta 90.00
_cell_angle_gamma 90.00
_symmetry_space_group_name_H-M 'P n -3 m'
_symmetry_Int_Tables_number 224
loop_
_symmetry_equiv_pos_as_xyz
'x,y,z'
'-x,-y,-z'
'-y,x+1/2,z+1/2'
'y,-x+1/2,-z+1/2'
'-x+1/2,-y+1/2,z'
'x+1/2,y+1/2,-z'
'y+1/2,-x,z+1/2'
'-y+1/2,x,-z+1/2'
'x,-y+1/2,-z+1/2'
'-x,y+1/2,z+1/2'
'-y,-x,-z'
'y,x,z'
'-x+1/2,y,-z+1/2'
'x+1/2,-y,z+1/2'
'y+1/2,x+1/2,-z'
'-y+1/2,-x+1/2,z'
'z,x,y'
'-z,-x,-y'
'z+1/2,-y,x+1/2'
'-z+1/2,y,-x+1/2'
'z,-x+1/2,-y+1/2'
'-z,x+1/2,y+1/2'
'z+1/2,y+1/2,-x'
'-z+1/2,-y+1/2,x'
'-z+1/2,x,-y+1/2'
'z+1/2,-x,y+1/2'
'-z,-y,-x'
'z,y,x'
'-z+1/2,-x+1/2,y'
'z+1/2,x+1/2,-y'
'-z,y+1/2,x+1/2'
'z,-y+1/2,-x+1/2'
'y,z,x'
'-y,-z,-x'
'x+1/2,z+1/2,-y'
'-x+1/2,-z+1/2,y'
'-y+1/2,z,-x+1/2'
'y+1/2,-z,x+1/2'
'-x,z+1/2,y+1/2'
'x,-z+1/2,-y+1/2'
'-y+1/2,-z+1/2,x'
'y+1/2,z+1/2,-x'
'-x,-z,-y'
'x,z,y'
'y,-z+1/2,-x+1/2'
'-y,z+1/2,x+1/2'
'x+1/2,-z,y+1/2'
'-x+1/2,z,-y+1/2'
loop_
_atom_site_label
_atom_site_type_symbol
_atom_site_fract_x
_atom_site_fract_y
_atom_site_fract_z
Pb1 Pb 0.000 0.000 0.000
O1 O 0.250 0.250 0.250
```

Main lines, in order of rising 2θ (10 to 90 degrees two-theta):
(1 1 0), 22.97 deg, intensity 0.5; (1 1 1), 28.23 deg, intensity 100.0; (2 0 0), 32.71 deg, intensity 47.5; (2 2 0), 46.94 deg, intensity 41.6; (3 1 1), 55.68 deg, intensity 47.2; (2 2 2), 58.39 deg, intensity 12.8; (4 0 0), 68.56 deg, intensity 6.8; (3 3 1), 75.72 deg, intensity 19.7; (4 2 0), 78.06 deg, intensity 17.3; (4 2 2), 87.23 deg, intensity 15.2



3.
The following is a computed X-ray powder pattern of Li5Cd2Pd3. It was derived from DFT lattice parameters and positions (PBE), using λ = 1.5418 Å (Cu Kα).

Structural model:
```
data_Li5Cd2Pd3
_chemical_formula_sum 'Li20 Cd8 Pd12'
_cell_length_a 9.730
_cell_length_b 13.141
_cell_length_c 5.199
_cell_angle_alpha 90.00
_cell_angle_beta 90.00
_cell_angle_gamma 90.00
_symmetry_space_group_name_H-M 'I b a m'
_symmetry_Int_Tables_number 72
_symmetry_space_group_name_Hall '-I 2 2c'
loop_
_atom_site_label
_atom_site_type_symbol
_atom_site_fract_x
_atom_site_fract_y
_atom_site_fract_z
Li1 Li 0.000 0.000 0.250
Li2 Li 0.097 0.342 0.000
Li3 Li 0.243 0.500 0.250
Cd1 Cd 0.101 0.181 0.500
Pd1 Pd 0.000 0.500 0.250
Pd2 Pd 0.200 0.161 0.000
```

Main lines, in order of rising 2θ (10 to 90 degrees two-theta):
(0 2 0), 13.48 deg, intensity 20.3; (1 3 0), 22.26 deg, intensity 100.0; (3 1 0), 28.34 deg, intensity 23.7; (3 2 1), 35.36 deg, intensity 44.6; (1 1 2), 36.42 deg, intensity 21.6; (0 2 2), 37.20 deg, intensity 31.3; (0 6 0), 41.22 deg, intensity 24.6; (4 1 1), 41.56 deg, intensity 27.8; (3 4 1), 42.87 deg, intensity 31.2; (3 3 2), 49.52 deg, intensity 24.0



4.
The following is a computed X-ray powder pattern of Tl2In5Hg. It was derived from DFT lattice parameters and positions (PBE), using λ = 1.5418 Å (Cu Kα).

Structural model:
```
data_Tl2In5Hg
_chemical_formula_sum 'Tl4 In10 Hg2'
_cell_length_a 4.612
_cell_length_b 4.612
_cell_length_c 20.864
_cell_angle_alpha 90.00
_cell_angle_beta 90.00
_cell_angle_gamma 90.00
_symmetry_space_group_name_H-M 'I 4/m m m'
_symmetry_Int_Tables_number 139
_symmetry_space_group_name_Hall '-I 4 2'
loop_
_atom_site_label
_atom_site_type_symbol
_atom_site_fract_x
_atom_site_fract_y
_atom_site_fract_z
Tl1 Tl 0.000 0.000 0.248
In1 In 0.000 0.000 0.500
In2 In 0.000 0.500 0.119
Hg1 Hg 0.000 0.000 0.000
```

Main lines, in order of rising 2θ (10 to 90 degrees two-theta):
(1 1 4), 32.38 deg, intensity 100.0; (0 0 8), 34.39 deg, intensity 20.7; (2 0 0), 39.06 deg, intensity 30.4; (2 0 8), 53.01 deg, intensity 24.0; (2 2 0), 56.44 deg, intensity 10.3; (1 1 12), 60.33 deg, intensity 15.5; (3 1 4), 66.58 deg, intensity 24.7; (2 2 8), 67.78 deg, intensity 11.4; (2 0 16), 85.56 deg, intensity 5.5; (3 1 12), 87.26 deg, intensity 11.4



5.
The following is a computed X-ray powder pattern of CsCeSiSe4. It was derived from DFT lattice parameters and positions (PBE), using λ = 1.5418 Å (Cu Kα).

Structural model:
```
data_CsCeSiSe4
_chemical_formula_sum 'Cs4 Ce4 Si4 Se16'
_cell_length_a 6.831
_cell_length_b 7.162
_cell_length_c 18.778
_cell_angle_alpha 90.00
_cell_angle_beta 90.00
_cell_angle_gamma 90.00
_symmetry_space_group_name_H-M 'P 21 21 21'
_symmetry_Int_Tables_number 19
_symmetry_space_group_name_Hall 'P 2ac 2ab'
loop_
_atom_site_label
_atom_site_type_symbol
_atom_site_fract_x
_atom_site_fract_y
_atom_site_fract_z
Cs1 Cs 0.013 0.005 0.467
Ce1 Ce 0.207 0.022 0.727
Si1 Si 0.212 0.515 0.335
Se1 Se 0.052 0.011 0.092
Se2 Se 0.067 0.250 0.857
Se3 Se 0.106 0.753 0.849
Se4 Se 0.116 0.568 0.220
```

Main lines, in order of rising 2θ (10 to 90 degrees two-theta):
(0 2 0), 24.86 deg, intensity 50.0; (1 0 5), 27.09 deg, intensity 81.0; (2 0 2), 27.80 deg, intensity 64.3; (1 2 1), 28.54 deg, intensity 69.1; (2 0 3), 29.76 deg, intensity 51.6; (1 1 5), 29.88 deg, intensity 78.2; (0 2 4), 31.43 deg, intensity 100.0; (1 2 3), 31.63 deg, intensity 60.8; (2 1 3), 32.38 deg, intensity 58.3; (2 2 2), 37.63 deg, intensity 74.6



6.
The following is a computed X-ray powder pattern of Dy6ErTm6. It was derived from DFT lattice parameters and positions (PBE), using λ = 1.5418 Å (Cu Kα).

Structural model:
```
data_Dy6ErTm6
_chemical_formula_sum 'Dy12 Er2 Tm12'
_cell_length_a 6.942
_cell_length_b 10.984
_cell_length_c 10.888
_cell_angle_alpha 90.00
_cell_angle_beta 90.00
_cell_angle_gamma 90.00
_symmetry_space_group_name_H-M 'C m m m'
_symmetry_Int_Tables_number 65
_symmetry_space_group_name_Hall '-C 2 2'
loop_
_atom_site_label
_atom_site_type_symbol
_atom_site_fract_x
_atom_site_fract_y
_atom_site_fract_z
Dy1 Dy 0.000 0.000 0.168
Dy2 Dy 0.000 0.263 0.000
Dy3 Dy 0.000 0.356 0.500
Er1 Er 0.000 0.000 0.500
Tm1 Tm 0.000 0.500 0.198
Tm2 Tm 0.250 0.250 0.275
```

Main lines, in order of rising 2θ (10 to 90 degrees two-theta):
(0 2 3), 29.50 deg, intensity 77.6; (2 2 0), 30.50 deg, intensity 93.1; (1 3 2), 32.16 deg, intensity 29.4; (0 4 0), 32.61 deg, intensity 40.0; (0 0 4), 32.90 deg, intensity 28.6; (2 2 2), 34.73 deg, intensity 100.0; (2 0 3), 35.80 deg, intensity 31.1; (4 0 0), 52.74 deg, intensity 21.8; (2 4 5), 60.46 deg, intensity 24.3; (4 2 3), 61.60 deg, intensity 21.3